Theoretical powder XRD pattern of Rb3Np3GaTe8 for Cu Ka, from a structure optimized by DFT (GGA-PBE).
Peak positions follow from Bragg's law for the DFT cell and can differ from measured ones.

Atomic structure:
```
Rb3Np3GaTe8
1.0
4.4975 2.5966 8.6111
-4.4975 2.5966 8.6111
0.0000 -5.1932 8.6111
Rb Np Ga Te
3 3 1 8
direct
0.0000 0.5000 0.5000 Rb
0.5000 0.0000 0.5000 Rb
0.5000 0.5000 0.0000 Rb
0.0000 0.0000 0.5000 Np
0.0000 0.5000 0.0000 Np
0.5000 0.0000 0.0000 Np
0.5000 0.5000 0.5000 Ga
0.2312 0.7285 0.7285 Te
0.2333 0.2333 0.2333 Te
0.2715 0.2715 0.7688 Te
0.2715 0.7688 0.2715 Te
0.7285 0.2312 0.7285 Te
0.7285 0.7285 0.2312 Te
0.7667 0.7667 0.7667 Te
0.7688 0.2715 0.2715 Te
```

Principal peaks in the range 2θ = 10–90°, sorted by position:
- 2θ = 10.27°, d = 8.611 Å, intensity 59
- 2θ = 26.73°, d = 3.335 Å, intensity 100
- 2θ = 33.45°, d = 2.679 Å, intensity 26
- 2θ = 36.13°, d = 2.486 Å, intensity 31
- 2θ = 40.10°, d = 2.249 Å, intensity 38
- 2θ = 48.85°, d = 1.865 Å, intensity 19